For Pa2Ni3, a GGA-PBE-relaxed structure gives the simulated powder diffraction line list in this record (a wavelength of 1.5418 Å).

Atomic structure:
abc: 5.0414 8.4639 7.9208
angles: 90.00 90.00 90.00
Space group Cmce (No. 64)
Symmetry-distinct sites (fractional):
1 Pa 0.0000 0.1500 0.0907 (multiplicity 8)
2 Ni 0.0000 0.0000 0.5000 (multiplicity 4)
3 Ni 0.2500 0.1075 0.7500 (multiplicity 8)

Top 10 peaks for 2θ = 5–70°, in order of falling intensity:
30.6 deg, d 2.923, intensity 100, (1 1 2); 38.3 deg, d 2.351, intensity 92, (1 3 1); 40.3 deg, d 2.240, intensity 67, (0 2 3); 43.3 deg, d 2.089, intensity 52, (2 2 1); 23.4 deg, d 3.800, intensity 43, (1 1 1); 62.4 deg, d 1.487, intensity 33, (1 5 2); 42.5 deg, d 2.127, intensity 28, (2 0 2); 35.6 deg, d 2.521, intensity 23, (2 0 0); 65.7 deg, d 1.420, intensity 19, (3 3 1); 50.7 deg, d 1.801, intensity 18, (1 1 4)

For Zn4GaAg2, a GGA-PBE-relaxed structure gives the simulated powder diffraction line list in this record (a wavelength of 1.5418 Å).

Atomic structure:
abc: 4.9168 5.1765 5.4375
angles: 100.55 97.65 116.63
Space group P-1 (No. 2)
Symmetry-distinct sites (fractional):
1 Zn 0.0240 0.0640 0.2682 (multiplicity 2)
2 Zn 0.4338 0.4762 0.7305 (multiplicity 2)
3 Ga 0.5000 0.0000 0.0000 (multiplicity 1)
4 Ag 0.0000 0.5000 0.0000 (multiplicity 1)
5 Ag 0.5000 0.0000 0.5000 (multiplicity 1)

Top 10 peaks for 2θ = 5–70°, in order of falling intensity:
41.8 deg, d 2.163, intensity 100, (1 1 -2); 40.3 deg, d 2.235, intensity 98, (1 -1 2); 41.0 deg, d 2.201, intensity 94, (-1 1 2); 40.5 deg, d 2.225, intensity 86, (0 2 0); 42.2 deg, d 2.144, intensity 81, (2 -2 0); 42.4 deg, d 2.131, intensity 74, (2 0 0); 58.9 deg, d 1.568, intensity 27, (1 -3 2); 36.7 deg, d 2.450, intensity 27, (1 -2 1); 58.2 deg, d 1.586, intensity 25, (1 1 2); 62.7 deg, d 1.481, intensity 24, (-3 1 2)

For TiCuO4F6, a GGA-PBE-relaxed structure gives the simulated powder diffraction line list in this record (a wavelength of 1.5418 Å).

Atomic structure:
abc: 4.9576 8.1186 7.8603
angles: 90.00 101.14 90.00
Space group P2_1/c (No. 14)
Symmetry-distinct sites (fractional):
1 Ti 0.0000 0.0000 0.0000 (multiplicity 2)
2 Cu 0.5000 0.0000 0.5000 (multiplicity 2)
3 O 0.1836 0.0582 0.5735 (multiplicity 4)
4 O 0.4586 0.7071 0.0823 (multiplicity 4)
5 F 0.1378 0.2025 0.9243 (multiplicity 4)
6 F 0.2390 0.6268 0.3889 (multiplicity 4)
7 F 0.2584 0.5010 0.7065 (multiplicity 4)

Top 10 peaks for 2θ = 5–70°, in order of falling intensity:
22.5 deg, d 3.955, intensity 100, (1 1 -1); 23.1 deg, d 3.856, intensity 72, (0 0 2); 25.9 deg, d 3.439, intensity 65, (1 1 1); 21.9 deg, d 4.059, intensity 50, (0 2 0); 44.3 deg, d 2.043, intensity 42, (1 1 3); 45.9 deg, d 1.977, intensity 29, (2 2 -2); 38.8 deg, d 2.323, intensity 28, (1 3 -1); 60.6 deg, d 1.528, intensity 14, (1 5 -1); 52.6 deg, d 1.741, intensity 14, (0 2 4); 47.9 deg, d 1.898, intensity 12, (2 0 2)

For Nd3SmCu4, a GGA-PBE-relaxed structure gives the simulated powder diffraction line list in this record (a wavelength of 1.5418 Å).

Atomic structure:
abc: 10.1472 7.1341 5.0729
angles: 90.00 90.00 90.00
Space group Pmma (No. 51)
Symmetry-distinct sites (fractional):
1 Nd 0.0000 0.0000 0.0000 (multiplicity 2)
2 Nd 0.2500 0.0000 0.4983 (multiplicity 2)
3 Nd 0.2500 0.5000 0.4982 (multiplicity 2)
4 Sm 0.0000 0.5000 0.0000 (multiplicity 2)
5 Cu 0.0000 0.2546 0.5000 (multiplicity 4)
6 Cu 0.2500 0.2544 0.9963 (multiplicity 4)

Top 10 peaks for 2θ = 5–70°, in order of falling intensity:
35.5 deg, d 2.529, intensity 100, (2 2 1); 35.4 deg, d 2.537, intensity 50, (4 0 0); 63.6 deg, d 1.463, intensity 35, (6 2 1); 50.9 deg, d 1.794, intensity 18, (4 0 2); 63.8 deg, d 1.459, intensity 17, (4 4 0); 24.8 deg, d 3.587, intensity 16, (2 0 1); 51.2 deg, d 1.784, intensity 9, (0 4 0); 25.0 deg, d 3.567, intensity 8, (0 2 0); 43.8 deg, d 2.067, intensity 7, (4 2 0); 57.5 deg, d 1.603, intensity 7, (4 2 2)